RbNaDyF5: calculated powder X-ray diffraction pattern (λ = 1.5418 Å (Cu Kα)), based on a cell relaxed with GGA-PBE.
Kinematic intensities with the Lorentz-polarization factor, no thermal factor.

Atomic structure:
```
data_RbNaDyF5
_symmetry_space_group_name_H-M 'P 1'
_symmetry_Int_Tables_number 1
_cell_length_a 6.583
_cell_length_b 6.583
_cell_length_c 8.441
_cell_angle_alpha 101.59
_cell_angle_beta 101.59
_cell_angle_gamma 110.22
loop_
_symmetry_equiv_pos_as_xyz
'x,y,z'
loop_
_atom_site_label
_atom_site_type_symbol
_atom_site_fract_x
_atom_site_fract_y
_atom_site_fract_z
Rb1 Rb 0.166 0.834 0.750
Rb2 Rb 0.834 0.166 0.250
Na1 Na 0.182 0.818 0.250
Na2 Na 0.818 0.182 0.750
Dy1 Dy 0.500 0.500 0.000
Dy2 Dy 0.500 0.500 0.500
F1 F 0.151 0.255 0.924
F2 F 0.222 0.597 0.409
F3 F 0.255 0.151 0.424
F4 F 0.403 0.778 0.091
F5 F 0.437 0.563 0.750
F6 F 0.563 0.437 0.250
F7 F 0.597 0.222 0.909
F8 F 0.745 0.849 0.576
F9 F 0.778 0.403 0.591
F10 F 0.849 0.745 0.076
```

Largest 6 diffraction maxima, by intensity, 2θ = 10–90°:
d [Å]  intensity
3.848  100
5.905  80
3.206  67
3.526  56
3.189  51
5.400  29

TbCePr14: calculated powder X-ray diffraction pattern (λ = 1.5418 Å (Cu Kα)), based on a cell relaxed with GGA-PBE.
Kinematic intensities with the Lorentz-polarization factor, no thermal factor.

Atomic structure:
```
data_TbCePr14
_symmetry_space_group_name_H-M 'P 1'
_symmetry_Int_Tables_number 1
_cell_length_a 10.480
_cell_length_b 7.381
_cell_length_c 7.381
_cell_angle_alpha 90.01
_cell_angle_beta 90.00
_cell_angle_gamma 90.00
loop_
_symmetry_equiv_pos_as_xyz
'x,y,z'
loop_
_atom_site_label
_atom_site_type_symbol
_atom_site_fract_x
_atom_site_fract_y
_atom_site_fract_z
Tb1 Tb 0.000 0.000 0.000
Ce1 Ce 0.000 0.500 0.500
Pr1 Pr 0.000 0.001 0.500
Pr2 Pr 0.000 0.500 0.001
Pr3 Pr 0.246 0.749 0.749
Pr4 Pr 0.247 0.251 0.251
Pr5 Pr 0.247 0.251 0.749
Pr6 Pr 0.247 0.749 0.251
Pr7 Pr 0.500 0.000 0.000
Pr8 Pr 0.500 0.500 0.500
Pr9 Pr 0.500 0.500 0.999
Pr10 Pr 0.500 0.999 0.500
Pr11 Pr 0.753 0.251 0.251
Pr12 Pr 0.753 0.251 0.749
Pr13 Pr 0.753 0.749 0.251
Pr14 Pr 0.754 0.749 0.749
```

Largest 6 diffraction maxima, by intensity, 2θ = 10–90°:
d [Å]  intensity
3.017  100
2.610  34
1.574  29
1.849  24
2.620  17
1.579  14

Ca3TlCd4: calculated powder X-ray diffraction pattern (λ = 1.5418 Å (Cu Kα)), based on a cell relaxed with GGA-PBE.
Kinematic intensities with the Lorentz-polarization factor, no thermal factor.

Atomic structure:
```
data_Ca3TlCd4
_symmetry_space_group_name_H-M 'P 1'
_symmetry_Int_Tables_number 1
_cell_length_a 9.407
_cell_length_b 9.407
_cell_length_c 9.407
_cell_angle_alpha 33.01
_cell_angle_beta 33.01
_cell_angle_gamma 33.01
loop_
_symmetry_equiv_pos_as_xyz
'x,y,z'
loop_
_atom_site_label
_atom_site_type_symbol
_atom_site_fract_x
_atom_site_fract_y
_atom_site_fract_z
Ca1 Ca 0.000 0.000 0.000
Ca2 Ca 0.246 0.246 0.246
Ca3 Ca 0.754 0.754 0.754
Tl1 Tl 0.500 0.500 0.500
Cd1 Cd 0.122 0.122 0.122
Cd2 Cd 0.372 0.372 0.372
Cd3 Cd 0.628 0.628 0.628
Cd4 Cd 0.878 0.878 0.878
```

Largest 6 diffraction maxima, by intensity, 2θ = 10–90°:
d [Å]  intensity
2.704  100
2.672  99
1.549  35
1.901  35
1.543  18
1.568  17

La4Hg2Pb: calculated powder X-ray diffraction pattern (λ = 1.5418 Å (Cu Kα)), based on a cell relaxed with GGA-PBE.
Kinematic intensities with the Lorentz-polarization factor, no thermal factor.

Atomic structure:
```
data_La4Hg2Pb
_symmetry_space_group_name_H-M 'P 1'
_symmetry_Int_Tables_number 1
_cell_length_a 9.383
_cell_length_b 9.383
_cell_length_c 9.383
_cell_angle_alpha 34.04
_cell_angle_beta 34.04
_cell_angle_gamma 34.04
loop_
_symmetry_equiv_pos_as_xyz
'x,y,z'
loop_
_atom_site_label
_atom_site_type_symbol
_atom_site_fract_x
_atom_site_fract_y
_atom_site_fract_z
La1 La 0.117 0.117 0.117
La2 La 0.369 0.369 0.369
La3 La 0.631 0.631 0.631
La4 La 0.883 0.883 0.883
Hg1 Hg 0.248 0.248 0.248
Hg2 Hg 0.752 0.752 0.752
Pb1 Pb 0.500 0.500 0.500
```

Largest 6 diffraction maxima, by intensity, 2θ = 10–90°:
d [Å]  intensity
2.746  100
2.718  91
1.580  36
1.932  34
1.585  19
1.226  16

Ca2MnZn: calculated powder X-ray diffraction pattern (λ = 1.5418 Å (Cu Kα)), based on a cell relaxed with GGA-PBE.
Kinematic intensities with the Lorentz-polarization factor, no thermal factor.

Atomic structure:
```
data_Ca2MnZn
_symmetry_space_group_name_H-M 'P 1'
_symmetry_Int_Tables_number 1
_cell_length_a 3.672
_cell_length_b 5.132
_cell_length_c 10.735
_cell_angle_alpha 90.00
_cell_angle_beta 90.00
_cell_angle_gamma 90.00
loop_
_symmetry_equiv_pos_as_xyz
'x,y,z'
loop_
_atom_site_label
_atom_site_type_symbol
_atom_site_fract_x
_atom_site_fract_y
_atom_site_fract_z
Ca1 Ca 0.000 0.000 0.000
Ca2 Ca 0.000 0.500 0.211
Ca3 Ca 0.500 0.000 0.711
Ca4 Ca 0.500 0.500 0.500
Mn1 Mn 0.000 0.500 0.784
Mn2 Mn 0.500 0.000 0.284
Zn1 Zn 0.000 0.000 0.453
Zn2 Zn 0.500 0.500 0.953
```

Largest 6 diffraction maxima, by intensity, 2θ = 10–90°:
d [Å]  intensity
2.610  100
2.565  40
4.630  20
1.854  18
1.490  16
2.684  15

Tm5CdFe2: calculated powder X-ray diffraction pattern (λ = 1.5418 Å (Cu Kα)), based on a cell relaxed with GGA-PBE.
Kinematic intensities with the Lorentz-polarization factor, no thermal factor.

Atomic structure:
```
data_Tm5CdFe2
_symmetry_space_group_name_H-M 'P 1'
_symmetry_Int_Tables_number 1
_cell_length_a 8.738
_cell_length_b 8.738
_cell_length_c 8.738
_cell_angle_alpha 130.19
_cell_angle_beta 130.19
_cell_angle_gamma 73.10
loop_
_symmetry_equiv_pos_as_xyz
'x,y,z'
loop_
_atom_site_label
_atom_site_type_symbol
_atom_site_fract_x
_atom_site_fract_y
_atom_site_fract_z
Tm1 Tm 0.000 0.000 0.000
Tm2 Tm 0.040 0.540 0.847
Tm3 Tm 0.193 0.040 0.500
Tm4 Tm 0.307 0.807 0.847
Tm5 Tm 0.460 0.307 0.500
Tm6 Tm 0.500 0.500 0.000
Tm7 Tm 0.540 0.693 0.500
Tm8 Tm 0.693 0.193 0.153
Tm9 Tm 0.807 0.960 0.500
Tm10 Tm 0.960 0.460 0.153
Cd1 Cd 0.250 0.250 0.000
Cd2 Cd 0.750 0.750 0.000
Fe1 Fe 0.109 0.391 0.500
Fe2 Fe 0.391 0.891 0.283
Fe3 Fe 0.609 0.109 0.717
Fe4 Fe 0.891 0.609 0.500
```

Largest 6 diffraction maxima, by intensity, 2θ = 10–90°:
d [Å]  intensity
2.692  100
2.540  90
2.327  61
3.204  46
1.555  35
2.910  35

KSrTeO4: calculated powder X-ray diffraction pattern (λ = 1.5418 Å (Cu Kα)), based on a cell relaxed with GGA-PBE.
Kinematic intensities with the Lorentz-polarization factor, no thermal factor.

Atomic structure:
```
data_KSrTeO4
_symmetry_space_group_name_H-M 'P 1'
_symmetry_Int_Tables_number 1
_cell_length_a 7.079
_cell_length_b 7.079
_cell_length_c 7.079
_cell_angle_alpha 122.22
_cell_angle_beta 117.14
_cell_angle_gamma 90.61
loop_
_symmetry_equiv_pos_as_xyz
'x,y,z'
loop_
_atom_site_label
_atom_site_type_symbol
_atom_site_fract_x
_atom_site_fract_y
_atom_site_fract_z
K1 K 0.500 0.000 0.000
K2 K 0.500 0.500 0.500
Sr1 Sr 0.000 0.000 0.000
Sr2 Sr 0.500 0.000 0.500
Te1 Te 0.122 0.372 0.750
Te2 Te 0.878 0.628 0.250
O1 O 0.201 0.742 0.460
O2 O 0.218 0.258 0.960
O3 O 0.232 0.237 0.505
O4 O 0.232 0.728 0.995
O5 O 0.768 0.272 0.005
O6 O 0.768 0.763 0.495
O7 O 0.782 0.742 0.040
O8 O 0.799 0.258 0.540
```

Largest 6 diffraction maxima, by intensity, 2θ = 10–90°:
d [Å]  intensity
3.088  100
3.534  73
2.963  61
1.767  58
2.986  51
3.420  31

BaPm2Gd: calculated powder X-ray diffraction pattern (λ = 1.5418 Å (Cu Kα)), based on a cell relaxed with GGA-PBE.
Kinematic intensities with the Lorentz-polarization factor, no thermal factor.

Atomic structure:
```
data_BaPm2Gd
_symmetry_space_group_name_H-M 'P 1'
_symmetry_Int_Tables_number 1
_cell_length_a 3.772
_cell_length_b 3.772
_cell_length_c 10.850
_cell_angle_alpha 90.00
_cell_angle_beta 90.00
_cell_angle_gamma 90.00
loop_
_symmetry_equiv_pos_as_xyz
'x,y,z'
loop_
_atom_site_label
_atom_site_type_symbol
_atom_site_fract_x
_atom_site_fract_y
_atom_site_fract_z
Ba1 Ba 0.000 0.000 0.000
Pm1 Pm 0.500 0.500 0.282
Pm2 Pm 0.500 0.500 0.718
Gd1 Gd 0.000 0.000 0.500
```

Largest 6 diffraction maxima, by intensity, 2θ = 10–90°:
d [Å]  intensity
3.097  100
2.667  36
1.611  29
1.902  19
2.713  14
1.886  13